No. 1
The following is a computed powder diffraction line list of Pr2Al3Sn2. It was derived from a crystal structure in Alexandria, relaxed with PBE, using Cu Ka.
Neutral-atom scattering factors, no anomalous dispersion.

Peak list (10 most intense, 10 to 80 degrees two-theta, in order of rising 2θ)
two_theta, I_rel
27.97, 100
31.35, 16
34.43, 12
37.29, 28
39.97, 21
44.93, 12
49.49, 25
51.66, 12
61.68, 13
69.05, 15

Atomic structure:
Cell lengths 7.814, 7.814, 7.814 Å; angles 109.47, 109.47, 109.47 degrees
Positions (direct):
Pr: 0.000 0.509 0.500
Pr: 0.500 0.000 0.509
Pr: 0.509 0.500 0.000
Pr: 0.991 0.991 0.991
Al: 0.024 0.274 0.750
Al: 0.226 0.250 0.476
Al: 0.250 0.476 0.226
Al: 0.274 0.750 0.024
Al: 0.476 0.226 0.250
Al: 0.750 0.024 0.274
Sn: 0.000 0.900 0.500
Sn: 0.500 0.000 0.900
Sn: 0.600 0.600 0.600
Sn: 0.900 0.500 0.000



No. 2
The following is a computed powder diffraction line list of Pr4AlSn3. It was derived from a crystal structure in Alexandria, relaxed with PBE, using Cu Ka.
Neutral-atom scattering factors, no anomalous dispersion.

Peak list (10 most intense, 10 to 80 degrees two-theta, in order of rising 2θ)
two_theta, I_rel
28.88, 100
29.61, 29
30.33, 30
36.17, 63
36.78, 18
38.21, 27
41.31, 23
49.54, 15
57.53, 17
67.77, 19

Atomic structure:
Cell lengths 4.371, 4.711, 11.788 Å; angles 90.00, 90.00, 90.00 degrees
Positions (direct):
Pr: 0.000 0.000 0.000
Pr: 0.000 0.500 0.492
Pr: 0.500 0.000 0.719
Pr: 0.500 0.500 0.220
Al: 0.000 0.000 0.278
Sn: 0.000 0.500 0.769
Sn: 0.500 0.000 0.434
Sn: 0.500 0.500 0.944



No. 3
The following is a computed powder diffraction line list of Pr7AlSn5. It was derived from a crystal structure in Alexandria, relaxed with PBE, using Cu Ka.
Neutral-atom scattering factors, no anomalous dispersion.

Peak list (10 most intense, 10 to 80 degrees two-theta, in order of rising 2θ)
two_theta, I_rel
26.94, 28
28.02, 23
31.55, 58
32.04, 33
32.52, 57
34.94, 47
36.06, 100
36.41, 26
55.55, 28
60.39, 19

Atomic structure:
Cell lengths 8.610, 8.610, 8.610 Å; angles 136.54, 95.18, 100.60 degrees
Positions (direct):
Pr: 0.000 0.000 0.000
Pr: 0.293 0.619 0.673
Pr: 0.400 0.400 0.000
Pr: 0.441 0.101 0.339
Pr: 0.762 0.101 0.661
Pr: 0.842 0.342 0.500
Pr: 0.946 0.619 0.327
Al: 0.699 0.699 0.000
Sn: 0.107 0.114 0.490
Sn: 0.107 0.617 0.993
Sn: 0.353 0.853 0.500
Sn: 0.624 0.114 0.007
Sn: 0.624 0.617 0.510



No. 4
The following is a computed powder diffraction line list of Pr3Al2Sn2. It was derived from a crystal structure in Alexandria, relaxed with PBE, using Cu Ka.
Neutral-atom scattering factors, no anomalous dispersion.

Peak list (10 most intense, 10 to 80 degrees two-theta, in order of rising 2θ)
two_theta, I_rel
27.21, 40
28.21, 33
29.66, 100
29.97, 52
33.69, 53
38.04, 35
39.44, 32
41.18, 29
51.77, 22
55.95, 23

Atomic structure:
Cell lengths 4.384, 4.570, 19.666 Å; angles 90.00, 90.00, 90.00 degrees
Positions (direct):
Pr: 0.000 0.000 0.000
Pr: 0.000 0.500 0.316
Pr: 0.000 0.500 0.684
Pr: 0.500 0.000 0.184
Pr: 0.500 0.000 0.816
Pr: 0.500 0.500 0.500
Al: 0.000 0.000 0.436
Al: 0.000 0.000 0.564
Al: 0.500 0.500 0.064
Al: 0.500 0.500 0.936
Sn: 0.000 0.500 0.146
Sn: 0.000 0.500 0.854
Sn: 0.500 0.000 0.354
Sn: 0.500 0.000 0.646